# Fe4O3F5
Computed powder diffractogram, Cu Kα (λ = 1.5418 Å). Input: a DFT-relaxed cell (GGA+U, Alexandria).
Kinematic intensities with the Lorentz-polarization factor, no thermal factor.

The 8 most intense peaks (10 to 90 degrees two-theta), by angle:
- 2θ = 25.4°, intensity 94
- 2θ = 27.4°, intensity 89
- 2θ = 34.5°, intensity 100
- 2θ = 50.8°, intensity 31
- 2θ = 51.0°, intensity 32
- 2θ = 53.0°, intensity 25
- 2θ = 53.2°, intensity 26
- 2θ = 59.7°, intensity 22

Crystal structure
```
data_Fe4O3F5
_space_group_name_H-M_alt 'C 1 m 1'
_space_group_IT_number 8
_space_group_name_Hall 'C -2y'
_cell_length_a 9.530
_cell_length_b 6.197
_cell_length_c 4.803
_cell_angle_alpha 90.00
_cell_angle_beta 94.15
_cell_angle_gamma 90.00
loop_
_atom_site_label
_atom_site_type_symbol
_atom_site_fract_x
_atom_site_fract_y
_atom_site_fract_z
Fe1 Fe 0.000 0.000 0.000
Fe2 Fe 0.005 0.500 0.003
Fe3 Fe 0.244 0.261 0.486
O1 O 0.148 0.500 0.313
O2 O 0.154 0.000 0.300
O3 O 0.349 0.500 0.699
F1 F 0.102 0.236 0.799
F2 F 0.353 0.000 0.686
F3 F 0.398 0.260 0.194
```